PmDy2Ho2Sc2: computed X-ray powder pattern (a wavelength of 1.5418 Å), based on the PBE geometry in Alexandria.
Kinematic intensities with the Lorentz-polarization factor, no thermal factor.

Atomic structure:
```
data_PmDy2Ho2Sc2
_chemical_formula_sum 'Pm2 Dy4 Ho4 Sc4'
_cell_length_a 17.213
_cell_length_b 3.390
_cell_length_c 8.175
_cell_angle_alpha 90.00
_cell_angle_beta 116.49
_cell_angle_gamma 90.00
_space_group_name_H-M_alt 'C 1 2/m 1'
_space_group_IT_number 12
_space_group_name_Hall '-C 2y'
loop_
_atom_site_label
_atom_site_type_symbol
_atom_site_fract_x
_atom_site_fract_y
_atom_site_fract_z
_atom_site_occupancy
Pm1 Pm 0.000 0.000 0.000 1
Dy1 Dy 0.073 0.500 0.416 1
Ho1 Ho 0.212 0.000 0.290 1
Sc1 Sc 0.151 0.500 0.892 1
```

Largest 10 diffraction maxima, low angle first, 2θ = 5–70°:
| 2θ/deg | d [Å] | Rel. int. |
| --- | --- | --- |
| 12.43 | 7.124 | 333 |
| 28.51 | 3.131 | 640 |
| 31.38 | 2.851 | 1000 |
| 33.60 | 2.667 | 405 |
| 35.00 | 2.563 | 540 |
| 36.78 | 2.444 | 472 |
| 39.53 | 2.280 | 301 |
| 54.98 | 1.670 | 172 |
| 63.90 | 1.457 | 258 |
| 64.50 | 1.445 | 157 |

PmDy2HoSe6: computed X-ray powder pattern (a wavelength of 1.5418 Å), based on the PBE geometry in Alexandria.
Kinematic intensities with the Lorentz-polarization factor, no thermal factor.

Atomic structure:
```
data_PmDy2HoSe6
_chemical_formula_sum 'Pm3 Dy6 Ho3 Se18'
_cell_length_a 7.2539
_cell_length_b 7.2539
_cell_length_c 19.5038
_cell_angle_alpha 90.00
_cell_angle_beta 90.00
_cell_angle_gamma 120.00
_space_group_name_H-M_alt 'R 3'
_space_group_IT_number 146
_space_group_name_Hall 'R 3'
loop_
_atom_site_label
_atom_site_type_symbol
_atom_site_fract_x
_atom_site_fract_y
_atom_site_fract_z
_atom_site_occupancy
Pm1 Pm 0.0000 0.0000 0.0000 1
Dy1 Dy 0.0000 0.0000 0.2994 1
Dy2 Dy 0.0000 0.0000 0.8018 1
Ho1 Ho 0.0000 0.0000 0.4963 1
Se1 Se 0.0005 0.3078 0.8974 1
Se2 Se 0.0125 0.7068 0.3982 1
```

Largest 10 diffraction maxima, low angle first, 2θ = 5–70°:
| 2θ/deg | d [Å] | Rel. int. |
| --- | --- | --- |
| 16.79 | 5.281 | 425 |
| 23.09 | 3.852 | 584 |
| 24.54 | 3.627 | 407 |
| 28.17 | 3.167 | 591 |
| 33.95 | 2.641 | 388 |
| 37.14 | 2.421 | 1000 |
| 42.34 | 2.135 | 354 |
| 43.20 | 2.094 | 637 |
| 48.92 | 1.862 | 313 |
| 58.26 | 1.584 | 256 |

Pm5Sm2DyHo: computed X-ray powder pattern (a wavelength of 1.5418 Å), based on the PBE geometry in Alexandria.
Kinematic intensities with the Lorentz-polarization factor, no thermal factor.

Atomic structure:
```
data_Pm5Sm2DyHo
_chemical_formula_sum 'Pm20 Sm8 Dy4 Ho4'
_cell_length_a 8.658
_cell_length_b 8.658
_cell_length_c 16.300
_cell_angle_alpha 90.00
_cell_angle_beta 90.00
_cell_angle_gamma 90.00
_space_group_name_H-M_alt 'I 4/m c m'
_space_group_IT_number 140
_space_group_name_Hall '-I 4 2c'
loop_
_atom_site_label
_atom_site_type_symbol
_atom_site_fract_x
_atom_site_fract_y
_atom_site_fract_z
_atom_site_occupancy
Pm1 Pm 0.000 0.000 0.000 1
Pm2 Pm 0.212 0.288 0.141 1
Sm1 Sm 0.120 0.380 0.500 1
Dy1 Dy 0.000 0.000 0.250 1
Ho1 Ho 0.000 0.500 0.250 1
```

Largest 10 diffraction maxima, low angle first, 2θ = 5–70°:
| 2θ/deg | d [Å] | Rel. int. |
| --- | --- | --- |
| 28.30 | 3.153 | 472 |
| 29.17 | 3.061 | 507 |
| 30.12 | 2.967 | 1000 |
| 32.71 | 2.738 | 119 |
| 37.87 | 2.376 | 148 |
| 39.15 | 2.301 | 109 |
| 43.25 | 2.092 | 117 |
| 44.46 | 2.038 | 135 |
| 52.32 | 1.749 | 245 |
| 54.06 | 1.696 | 137 |

Pm2Sm6DyHo3: computed X-ray powder pattern (a wavelength of 1.5418 Å), based on the PBE geometry in Alexandria.
Kinematic intensities with the Lorentz-polarization factor, no thermal factor.

Atomic structure:
```
data_Pm2Sm6DyHo3
_chemical_formula_sum 'Pm4 Sm12 Dy2 Ho6'
_cell_length_a 6.238
_cell_length_b 10.801
_cell_length_c 11.906
_cell_angle_alpha 90.00
_cell_angle_beta 100.03
_cell_angle_gamma 90.00
_space_group_name_H-M_alt 'C 1 2/m 1'
_space_group_IT_number 12
_space_group_name_Hall '-C 2y'
loop_
_atom_site_label
_atom_site_type_symbol
_atom_site_fract_x
_atom_site_fract_y
_atom_site_fract_z
_atom_site_occupancy
Pm1 Pm 0.000 0.167 0.000 1
Sm1 Sm 0.248 0.500 0.747 1
Sm2 Sm 0.249 0.166 0.748 1
Dy1 Dy 0.000 0.500 0.000 1
Ho1 Ho 0.000 0.000 0.500 1
Ho2 Ho 0.000 0.334 0.500 1
```

Largest 9 diffraction maxima, low angle first, 2θ = 5–70°:
| 2θ/deg | d [Å] | Rel. int. |
| --- | --- | --- |
| 30.41 | 2.939 | 1000 |
| 30.50 | 2.931 | 330 |
| 35.29 | 2.544 | 674 |
| 50.70 | 1.800 | 242 |
| 50.82 | 1.797 | 239 |
| 60.32 | 1.535 | 430 |
| 60.43 | 1.532 | 142 |
| 63.28 | 1.470 | 124 |
| 63.48 | 1.466 | 41 |